Starting from a structure optimized by DFT (GGA-PBE), the powder X-ray diffraction pattern of SrMg2Ga2N4 was computed for Cu Ka.
Intensities are scaled so that the largest is 100.

Top 8 peaks for 5 to 70 degrees two-theta, by angle:
2θ = 14.86°, d 5.963, I = 13; 2θ = 21.14°, d 4.202, I = 12; 2θ = 28.56°, d 3.125, I = 12; 2θ = 33.66°, d 2.663, I = 32; 2θ = 33.81°, d 2.651, I = 29; 2θ = 35.81°, d 2.508, I = 100; 2θ = 48.59°, d 1.874, I = 11; 2θ = 61.69°, d 1.504, I = 17

Structure:
Unit cell a=6.155 b=6.155 c=8.400 alpha=132.65 beta=132.65 gamma=31.75
Sites, in units of the cell vectors:
Sr  0.000  0.000  0.000
Mg  0.182  0.182  0.547
Mg  0.640  0.640  0.812
Ga  0.370  0.370  0.173
Ga  0.817  0.817  0.452
N  0.260  0.260  0.855
N  0.403  0.403  0.632
N  0.595  0.595  0.345
N  0.779  0.779  0.184